For KNbW2O9, a GGA+U-relaxed structure gives the computed X-ray powder pattern in this record (copper Kα).
Intensities are scaled so that the largest is 100.

Structural model:
a b c (Å): 3.9531 13.0327 13.0484
angles (deg): 60.20 89.95 89.98
Fractional positions:
K 0.0000 0.0000 0.0000
K 0.0009 0.6740 0.6649
K 0.8852 0.3413 0.3307
Nb 0.4289 0.6740 0.1651
Nb 0.4300 0.1744 0.1633
Nb 0.4302 0.5063 0.4920
W 0.4345 0.0052 0.4972
W 0.4352 0.5072 0.9959
W 0.4355 0.1712 0.6669
W 0.5184 0.3406 0.8292
W 0.5191 0.8391 0.3307
W 0.5212 0.8383 0.8311
O 0.4721 0.2190 0.9954
O 0.4731 0.1297 0.3405
O 0.4729 0.5567 0.1093
O 0.4736 0.1223 0.5496
O 0.4742 0.6760 0.4509
O 0.4745 0.8823 0.4570
O 0.4747 0.0048 0.2149
O 0.4753 0.3492 0.1181
O 0.4750 0.5416 0.3276
O 0.4764 0.2130 0.7906
O 0.4756 0.3292 0.5453
O 0.4759 0.4566 0.6688
O 0.4757 0.8824 0.6646
O 0.4773 0.4631 0.8719
O 0.4774 0.8004 0.9900
O 0.4784 0.6751 0.8687
O 0.4776 0.8058 0.2060
O 0.4787 0.0041 0.7890
O 0.9672 0.6856 0.1613
O 0.9682 0.0021 0.5022
O 0.9675 0.1798 0.1702
O 0.9676 0.5009 0.4991
O 0.9699 0.1669 0.6721
O 0.9695 0.5113 0.9874
O 0.9833 0.3370 0.8324
O 0.9837 0.8405 0.3351
O 0.9861 0.8398 0.8271

Most intense lines, 15° ≤ 2θ ≤ 90°, in order of rising 2θ:
2theta	intensity
22.5	64.9
26.4	45.0
27.3	100.0
27.4	49.8
35.7	56.6
54.3	32.3

---

For KNdNi4O12, a GGA+U-relaxed structure gives the computed X-ray powder pattern in this record (copper Kα).
Intensities are scaled so that the largest is 100.

Structural model:
a b c (Å): 7.7366 5.4481 5.4481
angles (deg): 89.97 90.00 90.00
Fractional positions:
K 0.0000 0.0000 0.0000
Nd 0.5000 0.4866 0.4866
Ni 0.2467 0.4943 0.9913
Ni 0.2467 0.9913 0.4943
Ni 0.7533 0.4943 0.9913
Ni 0.7533 0.9913 0.4943
O 0.0000 0.5074 0.9861
O 0.0000 0.9861 0.5074
O 0.2576 0.2585 0.2585
O 0.2695 0.2569 0.7296
O 0.2695 0.7296 0.2569
O 0.2761 0.7245 0.7245
O 0.5000 0.0098 0.4846
O 0.5000 0.4846 0.0098
O 0.7239 0.7245 0.7245
O 0.7305 0.2569 0.7296
O 0.7305 0.7296 0.2569
O 0.7424 0.2585 0.2585

Most intense lines, 15° ≤ 2θ ≤ 90°, in order of rising 2θ:
2theta	intensity
16.3	17.2
19.9	57.7
32.8	100.0
38.7	19.6
47.2	31.4
58.7	25.5

---

For KNdSnWO6, a GGA+U-relaxed structure gives the computed X-ray powder pattern in this record (copper Kα).
Intensities are scaled so that the largest is 100.

Structural model:
a b c (Å): 6.0531 6.0531 6.0531
angles (deg): 60.00 60.00 60.00
Fractional positions:
K 0.0000 0.0000 0.0000
Nd 0.7500 0.7500 0.7500
Sn 0.5000 0.5000 0.5000
W 0.2500 0.2500 0.2500
O 0.0220 0.0220 0.4780
O 0.0220 0.4780 0.0220
O 0.0220 0.4780 0.4780
O 0.4780 0.0220 0.0220
O 0.4780 0.0220 0.4780
O 0.4780 0.4780 0.0220

Most intense lines, 15° ≤ 2θ ≤ 90°, in order of rising 2θ:
2theta	intensity
20.8	22.9
29.5	100.0
42.2	30.4
52.4	40.8
61.3	19.0
84.7	22.3

---

For KNdSnWO6, a GGA+U-relaxed structure gives the computed X-ray powder pattern in this record (copper Kα).
Intensities are scaled so that the largest is 100.

Structural model:
a b c (Å): 6.0610 6.0610 8.5435
angles (deg): 90.00 90.00 90.00
Fractional positions:
K 0.0000 0.0000 0.2500
K 0.0000 0.0000 0.7500
Nd 0.0000 0.5000 0.0000
Nd 0.5000 0.0000 0.5000
Sn 0.5000 0.5000 0.2500
Sn 0.5000 0.5000 0.7500
W 0.0000 0.5000 0.5000
W 0.5000 0.0000 0.0000
O 0.0000 0.5000 0.2722
O 0.0000 0.5000 0.7278
O 0.2351 0.2787 0.5000
O 0.2351 0.7213 0.5000
O 0.2787 0.2351 0.0000
O 0.2787 0.7649 0.0000
O 0.5000 0.0000 0.2278
O 0.5000 0.0000 0.7722
O 0.7213 0.2351 0.0000
O 0.7213 0.7649 0.0000
O 0.7649 0.2787 0.5000
O 0.7649 0.7213 0.5000

Most intense lines, 15° ≤ 2θ ≤ 90°, in order of rising 2θ:
2theta	intensity
20.7	22.9
29.5	100.0
42.2	20.3
52.3	40.8
61.3	12.6
84.7	14.9

---

For KNdW2O8, a GGA+U-relaxed structure gives the computed X-ray powder pattern in this record (copper Kα).
Intensities are scaled so that the largest is 100.

Structural model:
a b c (Å): 7.5304 7.5304 7.5989
angles (deg): 113.73 113.73 92.77
Fractional positions:
K 0.1890 0.1890 0.0266
K 0.8110 0.8110 0.9734
Nd 0.1989 0.8011 0.5000
Nd 0.8011 0.1989 0.5000
W 0.2960 0.2960 0.5567
W 0.3376 0.6624 0.0000
W 0.6624 0.3376 0.0000
W 0.7040 0.7040 0.4433
O 0.0739 0.0739 0.3923
O 0.1533 0.4064 0.7605
O 0.1904 0.7178 0.1460
O 0.2046 0.4596 0.4353
O 0.2822 0.8096 0.8540
O 0.4064 0.1533 0.7605
O 0.4596 0.2046 0.4353
O 0.4837 0.4837 0.1558
O 0.5163 0.5163 0.8442
O 0.5404 0.7954 0.5647
O 0.5936 0.8467 0.2395
O 0.7178 0.1904 0.1460
O 0.7954 0.5404 0.5647
O 0.8096 0.2822 0.8540
O 0.8467 0.5936 0.2395
O 0.9261 0.9261 0.6077

Most intense lines, 15° ≤ 2θ ≤ 90°, in order of rising 2θ:
2theta	intensity
17.2	28.8
23.8	26.5
26.7	65.3
27.3	67.4
29.0	100.0
33.3	32.1

---

For KNdZnWO6, a GGA+U-relaxed structure gives the computed X-ray powder pattern in this record (copper Kα).
Intensities are scaled so that the largest is 100.

Structural model:
a b c (Å): 5.6693 5.6693 5.6693
angles (deg): 60.00 60.00 60.00
Fractional positions:
K 0.0000 0.0000 0.0000
Nd 0.5000 0.5000 0.5000
Zn 0.2500 0.2500 0.2500
W 0.7500 0.7500 0.7500
O 0.5081 0.5081 0.9919
O 0.5081 0.9919 0.5081
O 0.5081 0.9919 0.9919
O 0.9919 0.5081 0.5081
O 0.9919 0.5081 0.9919
O 0.9919 0.9919 0.5081

Most intense lines, 15° ≤ 2θ ≤ 90°, in order of rising 2θ:
2theta	intensity
19.2	32.4
31.6	100.0
37.2	17.7
45.2	31.4
56.2	39.3
65.9	18.9

---

For K4Ni3O6, a GGA+U-relaxed structure gives the computed X-ray powder pattern in this record (copper Kα).
Intensities are scaled so that the largest is 100.

Structural model:
a b c (Å): 5.4831 5.4831 7.9146
angles (deg): 91.16 91.16 68.45
Fractional positions:
K 0.1522 0.1522 0.3910
K 0.1752 0.1752 0.8743
K 0.8248 0.8248 0.1257
K 0.8478 0.8478 0.6090
Ni 0.4661 0.4661 0.1692
Ni 0.5000 0.5000 0.5000
Ni 0.5339 0.5339 0.8308
O 0.2335 0.6336 0.3424
O 0.3032 0.6968 0.0000
O 0.3664 0.7665 0.6576
O 0.6336 0.2335 0.3424
O 0.6968 0.3032 0.0000
O 0.7665 0.3664 0.6576

Most intense lines, 15° ≤ 2θ ≤ 90°, in order of rising 2θ:
2theta	intensity
17.4	79.4
19.6	57.5
29.0	45.5
33.0	100.0
41.9	22.5
45.2	28.4

---

For K3NiO2, a GGA+U-relaxed structure gives the computed X-ray powder pattern in this record (copper Kα).
Intensities are scaled so that the largest is 100.

Structural model:
a b c (Å): 6.1134 6.1134 7.0411
angles (deg): 90.00 90.00 90.00
Fractional positions:
K 0.0000 0.0000 0.0000
K 0.0000 0.5000 0.2500
K 0.0000 0.5000 0.7500
K 0.5000 0.0000 0.2500
K 0.5000 0.0000 0.7500
K 0.5000 0.5000 0.5000
Ni 0.0000 0.0000 0.5000
Ni 0.5000 0.5000 0.0000
O 0.2076 0.2076 0.5000
O 0.2924 0.7076 0.0000
O 0.7076 0.2924 0.0000
O 0.7924 0.7924 0.5000

Most intense lines, 15° ≤ 2θ ≤ 90°, in order of rising 2θ:
2theta	intensity
19.2	11.4
29.2	47.5
32.8	100.0
41.8	30.4
54.1	38.0
68.8	11.2